# 1
For MgTi2S6, the GGA-PBE geometry in the Materials Project gives the simulated X-ray powder pattern in this record (Cu Kα (λ = 1.5418 Å)).

Structural model:
```
data_MgTi2S6
_space_group_name_H-M_alt 'P 1 m 1'
_space_group_IT_number 6
_cell_length_a 5.0293
_cell_length_b 3.4203
_cell_length_c 9.3055
_cell_angle_alpha 90.00
_cell_angle_beta 90.14
_cell_angle_gamma 90.00
loop_
_space_group_symop_operation_xyz
'x,y,z'
'x,-y,z'
loop_
_atom_site_label
_atom_site_type_symbol
_atom_site_fract_x
_atom_site_fract_y
_atom_site_fract_z
Mg1 Mg 0.0000 0.0000 0.0000
Ti1 Ti 0.4949 0.5000 0.3778
Ti2 Ti 0.9989 0.0000 0.6756
S1 S 0.2519 0.5000 0.8375
S2 S 0.2526 0.0000 0.2311
S3 S 0.4967 0.0000 0.5710
S4 S 0.7327 0.0000 0.2294
S5 S 0.7479 0.5000 0.8377
S6 S 0.9958 0.5000 0.4890
```

Peak list (10 most intense, 10° ≤ 2θ ≤ 90°, sorted by position)
Position (°2θ)  I_rel  (hkl)
20.1  45  1 0 1
32.5  100  0 1 2
37.0  33  2 0 1
39.2  38  0 1 3
40.8  31  2 0 -2
42.8  17  1 0 -4
43.3  56  1 1 3
45.8  88  2 1 -1
47.3  17  0 1 4
53.6  28  0 2 0

---

# 2
For MgTi3S6, the GGA-PBE geometry in the Materials Project gives the simulated X-ray powder pattern in this record (Cu Kα (λ = 1.5418 Å)).

Structural model:
```
data_MgTi3S6
_space_group_name_H-M_alt 'P 1'
_space_group_IT_number 1
_cell_length_a 3.4738
_cell_length_b 3.4738
_cell_length_c 20.0092
_cell_angle_alpha 89.61
_cell_angle_beta 89.60
_cell_angle_gamma 60.01
loop_
_space_group_symop_operation_xyz
'x,y,z'
loop_
_atom_site_label
_atom_site_type_symbol
_atom_site_fract_x
_atom_site_fract_y
_atom_site_fract_z
Mg1 Mg 0.0000 0.0000 0.0000
Ti1 Ti 0.3368 0.3369 0.8430
Ti2 Ti 0.3399 0.3323 0.5441
Ti3 Ti 0.3400 0.3405 0.1944
S1 S 0.0052 0.0051 0.7784
S2 S 0.0073 0.0105 0.4742
S3 S 0.0090 0.0094 0.1197
S4 S 0.6687 0.6687 0.9284
S5 S 0.6704 0.6735 0.6140
S6 S 0.6714 0.6719 0.2618
```

Peak list (10 most intense, 10° ≤ 2θ ≤ 90°, sorted by position)
Position (°2θ)  I_rel  (hkl)
13.3  100  0 0 3
32.6  32  1 1 3
32.7  66  1 0 -3
40.2  24  1 1 6
40.5  37  1 0 -6
47.1  8  1 0 8
51.0  8  0 1 9
51.3  8  1 1 -9
52.7  36  2 1 0
54.5  8  1 2 3

---

# 3
For MgTi2S6, the GGA-PBE geometry in the Materials Project gives the simulated X-ray powder pattern in this record (Cu Kα (λ = 1.5418 Å)).

Structural model:
```
data_MgTi2S6
_space_group_name_H-M_alt 'P 1 m 1'
_space_group_IT_number 6
_cell_length_a 5.0353
_cell_length_b 3.4423
_cell_length_c 9.1939
_cell_angle_alpha 90.00
_cell_angle_beta 90.03
_cell_angle_gamma 90.00
loop_
_space_group_symop_operation_xyz
'x,y,z'
'x,-y,z'
loop_
_atom_site_label
_atom_site_type_symbol
_atom_site_fract_x
_atom_site_fract_y
_atom_site_fract_z
Mg1 Mg 0.0000 0.0000 0.0000
Ti1 Ti 0.0090 0.5000 0.6175
Ti2 Ti 0.4922 0.0000 0.3143
S1 S 0.9997 0.0000 0.4220
S2 S 0.2511 0.5000 0.1517
S3 S 0.2581 0.0000 0.7650
S4 S 0.4987 0.5000 0.5025
S5 S 0.7331 0.5000 0.1514
S6 S 0.7581 0.0000 0.7636
```

Peak list (10 most intense, 10° ≤ 2θ ≤ 90°, sorted by position)
Position (°2θ)  I_rel  (hkl)
20.1  36  1 0 1
32.5  100  0 1 2
37.0  34  2 0 1
37.2  42  1 1 2
39.4  34  0 1 3
40.9  29  2 0 -2
43.4  32  1 1 3
45.7  90  2 1 1
46.7  26  2 0 3
53.2  28  0 2 0

---

# 4
For Mg2TiV3S8, the GGA-PBE geometry in the Materials Project gives the simulated X-ray powder pattern in this record (Cu Kα (λ = 1.5418 Å)).

Structural model:
```
data_Mg2TiV3S8
_space_group_name_H-M_alt 'C 1 2/m 1'
_space_group_IT_number 12
_cell_length_a 12.4559
_cell_length_b 7.3400
_cell_length_c 7.2154
_cell_angle_alpha 90.00
_cell_angle_beta 124.41
_cell_angle_gamma 90.00
loop_
_space_group_symop_operation_xyz
'x,y,z'
'-x,-y,-z'
'-x,y,-z'
'x,-y,z'
'x+1/2,y+1/2,z'
'-x+1/2,-y+1/2,-z'
'-x+1/2,y+1/2,-z'
'x+1/2,-y+1/2,z'
loop_
_atom_site_label
_atom_site_type_symbol
_atom_site_fract_x
_atom_site_fract_y
_atom_site_fract_z
Mg1 Mg 0.1251 0.0000 0.3744
Ti1 Ti 0.0000 0.5000 0.0000
V1 V 0.0000 0.5000 0.5000
V2 V 0.2500 0.2500 0.0000
S1 S 0.0106 0.2705 0.7598
S2 S 0.2379 0.5000 0.7629
S3 S 0.2405 0.5000 0.2184
```

Peak list (10 most intense, 10° ≤ 2θ ≤ 90°, sorted by position)
Position (°2θ)  I_rel  (hkl)
14.8  45  0 0 1
15.1  17  2 0 -1
28.6  18  2 0 1
28.8  33  3 1 0
29.0  17  4 0 -1
34.9  100  4 0 0
45.8  14  2 2 -3
49.7  17  0 4 0
49.9  33  2 2 2
50.5  47  6 2 -2

---

# 5
For Mg2Ti3VS8, the GGA-PBE geometry in the Materials Project gives the simulated X-ray powder pattern in this record (Cu Kα (λ = 1.5418 Å)).

Structural model:
```
data_Mg2Ti3VS8
_space_group_name_H-M_alt 'R -3 m'
_space_group_IT_number 166
_space_group_name_Hall '-R 3 2"'
_cell_length_a 7.2976
_cell_length_b 7.2976
_cell_length_c 18.0323
_cell_angle_alpha 90.00
_cell_angle_beta 90.00
_cell_angle_gamma 120.00
loop_
_atom_site_label
_atom_site_type_symbol
_atom_site_fract_x
_atom_site_fract_y
_atom_site_fract_z
Mg1 Mg 0.0000 0.0000 0.1249
Ti1 Ti 0.0000 0.5000 0.0000
V1 V 0.0000 0.0000 0.5000
S1 S 0.0000 0.0000 0.2590
S2 S 0.0268 0.5134 0.2532
```

Peak list (10 most intense, 10° ≤ 2θ ≤ 90°, sorted by position)
Position (°2θ)  I_rel  (hkl)
14.7  13  0 0 3
14.9  43  1 0 1
28.5  17  0 1 5
28.6  50  1 1 3
34.7  100  0 2 4
45.6  31  0 3 3
49.7  50  2 0 8
50.0  49  2 2 0
62.3  14  4 0 4
73.1  14  0 4 8

---

# 6
For MgTiWS4, the GGA-PBE geometry in the Materials Project gives the simulated X-ray powder pattern in this record (Cu Kα (λ = 1.5418 Å)).

Structural model:
```
data_MgTiWS4
_space_group_name_H-M_alt 'I m m 2'
_space_group_IT_number 44
_cell_length_a 7.1429
_cell_length_b 7.4089
_cell_length_c 10.3765
_cell_angle_alpha 90.00
_cell_angle_beta 90.00
_cell_angle_gamma 90.00
loop_
_space_group_symop_operation_xyz
'x,y,z'
'-x,-y,z'
'-x,y,z'
'x,-y,z'
'x+1/2,y+1/2,z+1/2'
'-x+1/2,-y+1/2,z+1/2'
'-x+1/2,y+1/2,z+1/2'
'x+1/2,-y+1/2,z+1/2'
loop_
_atom_site_label
_atom_site_type_symbol
_atom_site_fract_x
_atom_site_fract_y
_atom_site_fract_z
Mg1 Mg 0.0000 0.0000 0.0000
Mg2 Mg 0.0000 0.5000 0.2527
Ti1 Ti 0.0000 0.2499 0.6264
W1 W 0.2490 0.5000 0.8762
S1 S 0.0000 0.2320 0.3850
S2 S 0.0000 0.2673 0.8676
S3 S 0.2329 0.0000 0.6154
S4 S 0.2327 0.5000 0.6379
```

Peak list (10 most intense, 10° ≤ 2θ ≤ 90°, sorted by position)
Position (°2θ)  I_rel  (hkl)
14.7  100  0 1 1
17.1  20  0 0 2
24.0  13  0 2 0
28.5  31  0 1 3
29.1  51  2 1 1
34.6  23  0 0 4
34.9  45  2 2 0
38.2  13  2 1 3
45.5  21  2 3 1
49.9  40  2 2 4

---

# 7
For Mg2TiW3S8, the GGA-PBE geometry in the Materials Project gives the simulated X-ray powder pattern in this record (Cu Kα (λ = 1.5418 Å)).

Structural model:
```
data_Mg2TiW3S8
_space_group_name_H-M_alt 'C 1 2 1'
_space_group_IT_number 5
_cell_length_a 12.1517
_cell_length_b 7.6408
_cell_length_c 7.1953
_cell_angle_alpha 90.00
_cell_angle_beta 124.86
_cell_angle_gamma 90.00
loop_
_space_group_symop_operation_xyz
'x,y,z'
'-x,y,-z'
'x+1/2,y+1/2,z'
'-x+1/2,y+1/2,-z'
loop_
_atom_site_label
_atom_site_type_symbol
_atom_site_fract_x
_atom_site_fract_y
_atom_site_fract_z
Mg1 Mg 0.1143 0.0000 0.3653
Ti1 Ti 0.0000 0.5001 0.5000
W1 W 0.0000 0.4997 0.0000
W2 W 0.2496 0.2505 0.0000
S1 S 0.0020 0.2755 0.7530
S2 S 0.0023 0.7246 0.7533
S3 S 0.2492 0.0003 0.7748
S4 S 0.2493 0.5002 0.7767
```

Peak list (10 most intense, 10° ≤ 2θ ≤ 90°, sorted by position)
Position (°2θ)  I_rel  (hkl)
14.6  42  1 1 0
15.0  100  0 0 1
15.4  20  2 0 -1
28.0  51  2 2 -1
29.3  21  2 0 1
29.9  26  4 0 -1
34.2  74  2 2 -2
36.0  33  4 0 0
50.1  31  2 2 2
51.0  29  6 2 -2

---

# 8
For Mg2Ti3WS8, the GGA-PBE geometry in the Materials Project gives the simulated X-ray powder pattern in this record (Cu Kα (λ = 1.5418 Å)).

Structural model:
```
data_Mg2Ti3WS8
_space_group_name_H-M_alt 'C 1 2/m 1'
_space_group_IT_number 12
_cell_length_a 12.5622
_cell_length_b 7.3411
_cell_length_c 7.2835
_cell_angle_alpha 90.00
_cell_angle_beta 124.74
_cell_angle_gamma 90.00
loop_
_space_group_symop_operation_xyz
'x,y,z'
'-x,-y,-z'
'-x,y,-z'
'x,-y,z'
'x+1/2,y+1/2,z'
'-x+1/2,-y+1/2,-z'
'-x+1/2,y+1/2,-z'
'x+1/2,-y+1/2,z'
loop_
_atom_site_label
_atom_site_type_symbol
_atom_site_fract_x
_atom_site_fract_y
_atom_site_fract_z
Mg1 Mg 0.1251 0.0000 0.3747
Ti1 Ti 0.0000 0.5000 0.5000
Ti2 Ti 0.2500 0.2500 0.0000
W1 W 0.0000 0.5000 0.0000
S1 S 0.0091 0.2679 0.7592
S2 S 0.2401 0.5000 0.7595
S3 S 0.2405 0.5000 0.2225
```

Peak list (10 most intense, 10° ≤ 2θ ≤ 90°, sorted by position)
Position (°2θ)  I_rel  (hkl)
14.8  100  1 1 0
17.2  25  2 0 0
24.3  24  1 1 1
28.6  39  2 2 -1
28.7  19  3 1 0
28.8  29  3 1 -2
34.7  75  4 0 0
45.6  25  5 1 0
49.7  35  2 2 2
50.1  34  6 2 -2

---

# 9
For Y3Mg2TiS8, the GGA-PBE geometry in the Materials Project gives the simulated X-ray powder pattern in this record (Cu Kα (λ = 1.5418 Å)).

Structural model:
```
data_Y3Mg2TiS8
_space_group_name_H-M_alt 'R -3 m'
_space_group_IT_number 166
_space_group_name_Hall '-R 3 2"'
_cell_length_a 7.8171
_cell_length_b 7.8171
_cell_length_c 18.7442
_cell_angle_alpha 90.00
_cell_angle_beta 90.00
_cell_angle_gamma 120.00
loop_
_atom_site_label
_atom_site_type_symbol
_atom_site_fract_x
_atom_site_fract_y
_atom_site_fract_z
Y1 Y 0.0000 0.5000 0.0000
Mg1 Mg 0.0000 0.0000 0.1246
Ti1 Ti 0.0000 0.0000 0.5000
S1 S 0.0000 0.0000 0.2543
S2 S 0.0232 0.5116 0.2448
```

Peak list (10 most intense, 10° ≤ 2θ ≤ 90°, sorted by position)
Position (°2θ)  I_rel  (hkl)
13.9  47  1 0 1
14.2  27  0 0 3
26.8  43  0 2 1
26.9  32  1 1 3
27.2  18  0 1 5
32.6  100  0 2 4
42.8  17  1 2 5
46.5  48  2 2 0
47.2  46  2 0 8
57.9  16  4 0 4

---

# 10
For YMgTiS4, the GGA-PBE geometry in the Materials Project gives the simulated X-ray powder pattern in this record (Cu Kα (λ = 1.5418 Å)).

Structural model:
```
data_YMgTiS4
_space_group_name_H-M_alt 'I m m a'
_space_group_IT_number 74
_space_group_name_Hall '-I 2b 2'
_cell_length_a 7.4642
_cell_length_b 7.7710
_cell_length_c 10.7795
_cell_angle_alpha 90.00
_cell_angle_beta 90.00
_cell_angle_gamma 90.00
loop_
_atom_site_label
_atom_site_type_symbol
_atom_site_fract_x
_atom_site_fract_y
_atom_site_fract_z
Y1 Y 0.0000 0.0000 0.0000
Mg1 Mg 0.0000 0.2500 0.3729
Ti1 Ti 0.2500 0.2500 0.7500
S1 S 0.0000 0.0262 0.7466
S2 S 0.2504 0.2500 0.5181
```

Peak list (10 most intense, 10° ≤ 2θ ≤ 90°, sorted by position)
Position (°2θ)  I_rel  (hkl)
14.0  24  0 1 1
14.4  45  1 0 1
27.2  46  1 2 1
27.6  25  1 0 3
27.8  15  2 1 1
33.3  100  2 2 0
46.8  16  0 4 0
47.8  63  2 2 4
48.8  16  4 0 0
79.6  15  4 4 4

---

# 11
For Tm2MgS4, the GGA-PBE geometry in the Materials Project gives the simulated X-ray powder pattern in this record (Cu Kα (λ = 1.5418 Å)).

Structural model:
```
data_Tm2MgS4
_space_group_name_H-M_alt 'P -1'
_space_group_IT_number 2
_cell_length_a 7.1477
_cell_length_b 8.2620
_cell_length_c 12.8633
_cell_angle_alpha 99.39
_cell_angle_beta 95.52
_cell_angle_gamma 90.02
loop_
_space_group_symop_operation_xyz
'x,y,z'
'-x,-y,-z'
loop_
_atom_site_label
_atom_site_type_symbol
_atom_site_fract_x
_atom_site_fract_y
_atom_site_fract_z
Tm1 Tm 0.1321 0.4452 0.3030
Tm2 Tm 0.1330 0.9564 0.3061
Tm3 Tm 0.2584 0.1268 0.0007
Tm4 Tm 0.3645 0.2997 0.6954
Mg1 Mg 0.2509 0.6232 0.9965
Mg2 Mg 0.3666 0.7999 0.7006
S1 S 0.0979 0.4052 0.1028
S2 S 0.1034 0.8993 0.1050
S3 S 0.1933 0.5414 0.6293
S4 S 0.1946 0.0232 0.6290
S5 S 0.3092 0.7180 0.3742
S6 S 0.3267 0.2186 0.3720
S7 S 0.3947 0.8464 0.8930
S8 S 0.4038 0.3525 0.8958
```

Peak list (10 most intense, 10° ≤ 2θ ≤ 90°, sorted by position)
Position (°2θ)  I_rel  (hkl)
13.9  21  0 1 1
21.1  86  0 0 3
25.0  34  1 2 -1
25.3  64  1 2 0
26.6  100  2 0 1
31.3  40  1 -2 3
31.4  20  1 2 2
39.9  35  2 0 4
43.9  74  3 -2 0
49.2  26  -3 2 3

---

# 12
For Tm2MgS4, the GGA-PBE geometry in the Materials Project gives the simulated X-ray powder pattern in this record (Cu Kα (λ = 1.5418 Å)).

Structural model:
```
data_Tm2MgS4
_space_group_name_H-M_alt 'P n m a'
_space_group_IT_number 62
_cell_length_a 13.3465
_cell_length_b 7.7876
_cell_length_c 6.4793
_cell_angle_alpha 90.00
_cell_angle_beta 90.00
_cell_angle_gamma 90.00
loop_
_space_group_symop_operation_xyz
'x,y,z'
'-x,-y,-z'
'-x+1/2,-y,z+1/2'
'x+1/2,y,-z+1/2'
'x+1/2,-y+1/2,-z+1/2'
'-x+1/2,y+1/2,z+1/2'
'-x,y+1/2,-z'
'x,-y+1/2,z'
loop_
_atom_site_label
_atom_site_type_symbol
_atom_site_fract_x
_atom_site_fract_y
_atom_site_fract_z
Tm1 Tm 0.0000 0.0000 0.0000
Tm2 Tm 0.2332 0.2500 0.4986
Mg1 Mg 0.0931 0.7500 0.5766
S1 S 0.0721 0.2500 0.2501
S2 S 0.0916 0.7500 0.2076
S3 S 0.1688 0.5066 0.7605
```

Peak list (10 most intense, 10° ≤ 2θ ≤ 90°, sorted by position)
Position (°2θ)  I_rel  (hkl)
15.2  64  1 0 1
19.0  99  1 1 1
24.3  52  3 0 1
26.5  55  2 2 0
26.9  51  3 1 1
27.5  82  0 0 2
38.6  100  2 2 2
38.7  43  4 0 2
43.4  27  5 2 1
47.0  37  6 2 0